1.
SrY2Br: calculated powder diffractogram (Cu Kα (λ = 1.5418 Å)), based on the PBE geometry in Alexandria.
Lines closer than 0.1° are merged.

Atomic structure:
```
data_SrY2Br
_chemical_formula_sum 'Sr2 Y4 Br2'
_space_group_name_H-M_alt 'I 4/m m m'
_space_group_IT_number 139
_space_group_name_Hall '-I 4 2'
_cell_length_a 4.562
_cell_length_b 4.562
_cell_length_c 14.290
_cell_angle_alpha 90.00
_cell_angle_beta 90.00
_cell_angle_gamma 90.00
loop_
_atom_site_label
_atom_site_fract_x
_atom_site_fract_y
_atom_site_fract_z
Sr1 0.000 0.000 0.000
Y1 0.000 0.500 0.250
Br1 0.000 0.000 0.500
```

Main lines, by angle (15 to 90 degrees two-theta):
24.9 deg, intensity 419, (0 0 4); 30.4 deg, intensity 1000, (1 1 2); 39.5 deg, intensity 242, (2 0 0); 47.3 deg, intensity 285, (2 0 4); 47.5 deg, intensity 282, (1 1 6); 57.1 deg, intensity 80, (2 2 0); 63.3 deg, intensity 117, (2 2 4); 66.1 deg, intensity 205, (3 1 2); 66.5 deg, intensity 101, (2 0 8); 77.3 deg, intensity 130, (3 1 6)

2.
VCr2W: calculated powder diffractogram (Cu Kα (λ = 1.5418 Å)), based on the PBE geometry in Alexandria.
Lines closer than 0.1° are merged.

Atomic structure:
```
data_VCr2W
_chemical_formula_sum 'V1 Cr2 W1'
_space_group_name_H-M_alt 'P 4/m m m'
_space_group_IT_number 123
_space_group_name_Hall '-P 4 2'
_cell_length_a 4.213
_cell_length_b 4.213
_cell_length_c 2.978
_cell_angle_alpha 90.00
_cell_angle_beta 90.00
_cell_angle_gamma 90.00
loop_
_atom_site_label
_atom_site_fract_x
_atom_site_fract_y
_atom_site_fract_z
V1 0.000 0.000 0.000
Cr1 0.000 0.500 0.500
W1 0.500 0.500 0.000
```

Main lines, by angle (15 to 90 degrees two-theta):
21.1 deg, intensity 306, (1 0 0); 30.0 deg, intensity 175, (1 1 0); 37.0 deg, intensity 154, (1 0 1); 42.9 deg, intensity 1000, (2 0 0); 48.3 deg, intensity 75, (2 1 0); 57.9 deg, intensity 90, (2 1 1); 62.3 deg, intensity 157, (2 2 0); 70.7 deg, intensity 70, (3 1 0); 78.7 deg, intensity 313, (3 1 1); 82.6 deg, intensity 52, (3 2 0)

3.
Li3PH: calculated powder diffractogram (Cu Kα (λ = 1.5418 Å)), based on the PBE geometry in Alexandria.
Lines closer than 0.1° are merged.

Atomic structure:
```
data_Li3PH
_chemical_formula_sum 'Li12 P4 H4'
_space_group_name_H-M_alt 'I m a 2'
_space_group_IT_number 46
_space_group_name_Hall 'I 2 -2a'
_cell_length_a 8.140
_cell_length_b 5.549
_cell_length_c 5.472
_cell_angle_alpha 90.00
_cell_angle_beta 90.00
_cell_angle_gamma 90.00
loop_
_atom_site_label
_atom_site_fract_x
_atom_site_fract_y
_atom_site_fract_z
Li1 0.004 0.243 0.000
Li2 0.250 0.008 0.753
P1 0.250 0.025 0.230
H1 0.250 0.670 0.912
```

Main lines, by angle (15 to 90 degrees two-theta):
21.8 deg, intensity 641, (2 0 0); 22.8 deg, intensity 1000, (0 1 1); 31.8 deg, intensity 767, (2 1 1); 32.7 deg, intensity 165, (0 0 2); 39.3 deg, intensity 597, (2 2 0); 39.7 deg, intensity 611, (2 0 2); 44.5 deg, intensity 238, (4 0 0); 46.6 deg, intensity 369, (0 2 2); 50.6 deg, intensity 208, (4 1 1); 66.4 deg, intensity 247, (4 2 2)

Q: Number 2 is which compound?
A: VCr2W

Q: Which formula does entry 3 have?
A: Li3PH